BaSrYCrO6: computed powder diffraction line list (Cu Kα), based on a cell relaxed with PBE+U.

Structural model:
a = 8.2633 Å, b = 8.2633 Å, c = 8.2633 Å
α = 90.00°, β = 90.00°, γ = 90.00°
Space group F-43m (No. 216)
Unique sites:
Ba 0.0000 0.0000 0.0000 x4
Sr 0.0000 0.0000 0.5000 x4
Y 0.2500 0.2500 0.7500 x4
Cr 0.2500 0.2500 0.2500 x4
O 0.0195 0.2500 0.2500 x24

Principal peaks in the range 10 to 80 degrees two-theta, in order of rising 2θ:
- 18.60 deg, I = 5, hkl 1 1 1
- 30.60 deg, I = 100, hkl 2 2 0
- 36.05 deg, I = 4, hkl 3 1 1
- 37.71 deg, I = 10, hkl 2 2 2
- 43.82 deg, I = 34, hkl 4 0 0
- 47.99 deg, I = 3, hkl 3 3 1
- 54.39 deg, I = 38, hkl 4 2 2
- 63.71 deg, I = 20, hkl 4 4 0
- 72.32 deg, I = 17, hkl 6 2 0
- 76.46 deg, I = 3, hkl 6 2 2